(1)
Calculated X-ray powder pattern
Compound: Hg2Se2O7
Radiation: copper Kα
Structure: a cell relaxed with PBE
Kinematic intensities with the Lorentz-polarization factor, no thermal factor.

Top 6 peaks for 10 to 90 degrees two-theta, sorted by position:
two_theta	d_spacing	I/Imax	h k l
10.07	8.784	78.5	0 1 1
15.38	5.762	68.7	0 2 1
26.56	3.357	67.0	1 3 0
27.31	3.265	100.0	1 3 -1
27.96	3.191	72.9	1 3 1
34.64	2.590	71.7	2 0 0

Structure:
```
data_Hg2Se2O7
_chemical_formula_sum 'Hg8 Se8 O28'
_cell_length_a 5.1911
_cell_length_b 13.2220
_cell_length_c 11.7789
_cell_angle_alpha 90.00
_cell_angle_beta 93.81
_cell_angle_gamma 90.00
_space_group_name_H-M_alt 'P 1 21/c 1'
_space_group_IT_number 14
loop_
_space_group_symop_operation_xyz
'x,y,z'
'-x,-y,-z'
'-x,y+1/2,-z+1/2'
'x,-y+1/2,z+1/2'
loop_
_atom_site_label
_atom_site_fract_x
_atom_site_fract_y
_atom_site_fract_z
Hg1 0.2205 0.1937 0.2330
Hg2 0.2499 0.5223 0.1354
Se1 0.2308 0.5654 0.4068
Se2 0.2788 0.6389 0.8915
O1 0.0919 0.1071 0.0902
O2 0.2127 0.0391 0.8200
O3 0.2311 0.5098 0.8910
O4 0.2508 0.6644 0.0364
O5 0.2817 0.2328 0.8859
O6 0.3284 0.6511 0.3076
O7 0.3922 0.1438 0.6226
```

***

(2)
Calculated X-ray powder pattern
Compound: Hg2SeO3
Radiation: copper Kα
Structure: a cell relaxed with PBE
Kinematic intensities with the Lorentz-polarization factor, no thermal factor.

Top 6 peaks for 10 to 90 degrees two-theta, sorted by position:
two_theta	d_spacing	I/Imax	h k l
20.50	4.332	49.2	1 1 0
22.34	3.980	43.1	1 1 -2
26.42	3.373	100.0	2 1 -2
29.86	2.993	55.0	3 0 -2
33.96	2.640	35.9	0 2 0
45.84	1.980	29.6	3 2 -2

Structure:
```
data_Hg2SeO3
_chemical_formula_sum 'Hg8 Se4 O12'
_cell_length_a 8.9957
_cell_length_b 5.2801
_cell_length_c 12.2881
_cell_angle_alpha 90.00
_cell_angle_beta 122.60
_cell_angle_gamma 90.00
_space_group_name_H-M_alt 'P 1 21/c 1'
_space_group_IT_number 14
loop_
_space_group_symop_operation_xyz
'x,y,z'
'-x,-y,-z'
'-x,y+1/2,-z+1/2'
'x,-y+1/2,z+1/2'
loop_
_atom_site_label
_atom_site_fract_x
_atom_site_fract_y
_atom_site_fract_z
Hg1 0.0772 0.2392 0.4064
Hg2 0.2750 0.2035 0.1573
Se1 0.3413 0.7475 0.3704
O1 0.1197 0.6586 0.2991
O2 0.3275 0.0755 0.3498
O3 0.3892 0.6541 0.2592
```